[1]
The following is a calculated powder diffractogram of Ba2MgSi2Ni. It was derived from a cell relaxed with GGA-PBE, using CuKα.
No peak broadening, texture or thermal motion is included.

Top 10 peaks for 2θ = 5–70°, by angle:
hkl, two_theta, intensity
0 0 1, 9.00, 27.9
0 0 2, 18.05, 22.0
1 0 1, 22.55, 100.0
1 0 2, 27.55, 38.9
1 1 0, 29.35, 29.6
1 0 3, 34.40, 44.2
1 1 2, 34.67, 82.4
2 0 0, 41.99, 35.2
2 1 1, 48.18, 26.6
2 1 3, 55.36, 22.1

Structural model:
Lattice parameters (Å, degrees): 4.3035 4.3035 9.8293 90.00 90.00 90.00
Space group P-4m2 (No. 115)
One atom of each set of equivalent atoms:
Ba (0.0000, 0.5000, 0.2160)
Mg (0.0000, 0.0000, 0.5000)
Si (0.0000, 0.5000, 0.6362)
Ni (0.5000, 0.5000, 0.5000)


[2]
The following is a calculated powder diffractogram of LaLuMgPd. It was derived from a cell relaxed with GGA-PBE, using CuKα.
No peak broadening, texture or thermal motion is included.

Top 10 peaks for 2θ = 5–70°, by angle:
hkl, two_theta, intensity
1 1 1, 20.90, 9.7
2 0 0, 24.18, 19.0
2 2 0, 34.46, 100.0
3 1 1, 40.65, 5.2
2 2 2, 42.54, 5.9
4 0 0, 49.53, 17.9
3 3 1, 54.32, 2.3
4 2 0, 55.85, 8.1
4 2 2, 61.73, 36.7
5 1 1, 65.94, 1.7

Structural model:
Lattice parameters (Å, degrees): 7.3613 7.3613 7.3613 90.00 90.00 90.00
Space group F-43m (No. 216)
One atom of each set of equivalent atoms:
La (0.0000, 0.0000, 0.0000)
Lu (0.0000, 0.0000, 0.5000)
Mg (0.2500, 0.2500, 0.2500)
Pd (0.2500, 0.2500, 0.7500)


[3]
The following is a calculated powder diffractogram of KCuSiTe3. It was derived from a cell relaxed with GGA-PBE, using CuKα.
No peak broadening, texture or thermal motion is included.

Top 10 peaks for 2θ = 5–70°, by angle:
hkl, two_theta, intensity
0 2 0, 11.21, 66.2
0 2 3, 26.58, 28.9
0 4 2, 27.73, 62.8
1 3 0, 28.85, 100.0
1 3 1, 29.96, 81.2
0 0 4, 32.21, 49.6
1 5 3, 44.51, 29.3
2 0 0, 47.48, 29.9
0 8 2, 48.99, 27.9
1 3 5, 50.54, 41.4

Structural model:
Lattice parameters (Å, degrees): 3.8305 15.7808 11.1162 90.00 90.00 90.00
Space group Cmcm (No. 63)
One atom of each set of equivalent atoms:
K (0.0000, 0.2450, 0.2500)
Cu (0.0000, 0.0645, 0.7500)
Si (0.0000, 0.5000, 0.0000)
Te (0.0000, 0.1245, 0.5353)
Te (0.0000, 0.4514, 0.7500)


[4]
The following is a calculated powder diffractogram of HfZr2Ni2As4Pd2. It was derived from a cell relaxed with GGA-PBE, using CuKα.
No peak broadening, texture or thermal motion is included.

Top 10 peaks for 2θ = 5–70°, by angle:
hkl, two_theta, intensity
0 0 1, 11.67, 41.8
1 0 1, 18.04, 37.2
1 1 -2, 35.72, 76.0
2 1 0, 35.92, 95.0
1 1 2, 36.04, 50.3
2 1 -1, 37.74, 96.9
2 1 1, 38.04, 77.5
0 1 3, 42.72, 100.0
1 1 -3, 44.84, 40.1
0 2 0, 46.97, 79.2

Structural model:
Lattice parameters (Å, degrees): 6.5541 3.8689 7.5858 90.00 90.98 90.00
Space group Pm (No. 6)
One atom of each set of equivalent atoms:
Hf (0.0000, 0.0000, 0.0000)
Zr (0.4951, 0.0000, 0.1247)
Zr (0.5616, 0.5000, 0.4987)
Ni (0.1786, 0.5000, 0.2538)
Ni (0.6666, 0.5000, 0.8702)
As (0.2686, 0.0000, 0.4281)
As (0.2751, 0.5000, 0.9394)
As (0.7893, 0.5000, 0.1767)
As (0.7940, 0.0000, 0.7034)
Pd (0.3954, 0.0000, 0.7477)
Pd (0.8839, 0.0000, 0.3827)


[5]
The following is a calculated powder diffractogram of PrTlPd. It was derived from a cell relaxed with GGA-PBE, using CuKα.
No peak broadening, texture or thermal motion is included.

Top 10 peaks for 2θ = 5–70°, by angle:
hkl, two_theta, intensity
3 1 1, 31.77, 100.0
1 1 2, 32.49, 29.3
4 0 2, 33.96, 33.2
1 0 3, 34.13, 15.8
4 1 0, 34.27, 30.9
2 1 2, 34.38, 32.6
6 0 0, 38.58, 17.3
3 0 3, 38.81, 21.7
0 2 0, 46.09, 25.8
7 1 3, 62.61, 17.9

Structural model:
Lattice parameters (Å, degrees): 14.0006 3.9391 8.0229 90.00 90.00 90.00
Space group Pmma (No. 51)
One atom of each set of equivalent atoms:
Pr (0.0486, 0.0000, 0.2322)
Pr (0.2500, 0.0000, 0.8488)
Tl (0.1158, 0.5000, 0.5740)
Tl (0.2500, 0.5000, 0.1904)
Pd (0.0939, 0.5000, 0.9399)
Pd (0.2500, 0.0000, 0.4511)


[6]
The following is a calculated powder diffractogram of BiIrI6. It was derived from a cell relaxed with GGA-PBE, using CuKα.
No peak broadening, texture or thermal motion is included.

Top 10 peaks for 2θ = 5–70°, by angle:
hkl, two_theta, intensity
0 0 1, 12.55, 74.9
0 2 0, 13.60, 20.6
1 1 0, 14.16, 35.0
1 1 -1, 16.06, 20.2
2 0 -1, 24.02, 27.8
0 0 2, 25.21, 21.6
1 3 1, 29.03, 100.0
2 0 -2, 29.31, 48.9
0 6 0, 41.57, 46.8
1 3 -3, 41.89, 34.5

Structural model:
Lattice parameters (Å, degrees): 7.5352 13.0193 7.4548 90.00 108.83 90.00
Space group C2 (No. 5)
One atom of each set of equivalent atoms:
Bi (0.0000, 0.0000, 0.0000)
Ir (0.0000, 0.6664, 0.0000)
I (0.2130, 0.8111, 0.2300)
I (0.2179, 0.6649, 0.7752)
I (0.2200, 0.5224, 0.2285)


[7]
The following is a calculated powder diffractogram of SrCd2. It was derived from a cell relaxed with GGA-PBE, using CuKα.
No peak broadening, texture or thermal motion is included.

Top 10 peaks for 2θ = 5–70°, by angle:
hkl, two_theta, intensity
1 1 1, 17.76, 15.1
2 2 0, 29.20, 19.2
3 1 1, 34.38, 100.0
2 2 2, 35.96, 49.4
4 0 0, 41.76, 9.1
3 3 1, 45.71, 3.8
4 2 2, 51.77, 7.6
5 1 1, 55.17, 33.0
4 4 0, 60.54, 29.7
6 2 0, 68.61, 3.3

Structural model:
Lattice parameters (Å, degrees): 8.6514 8.6514 8.6514 90.00 90.00 90.00
Space group Fd-3m (No. 227, origin choice 2)
One atom of each set of equivalent atoms:
Sr (0.1250, 0.1250, 0.1250)
Cd (0.0000, 0.0000, 0.5000)


[8]
The following is a calculated powder diffractogram of Pr4InCo2Ge4. It was derived from a cell relaxed with GGA-PBE, using CuKα.
No peak broadening, texture or thermal motion is included.

Top 10 peaks for 2θ = 5–70°, by angle:
hkl, two_theta, intensity
3 1 0, 27.04, 18.0
3 1 1, 32.19, 86.0
3 1 -2, 33.75, 100.0
1 1 2, 34.93, 27.5
5 1 -1, 35.19, 19.3
5 1 0, 35.99, 23.8
6 0 -2, 37.17, 18.0
0 0 3, 38.88, 22.9
0 2 0, 41.75, 39.2
0 2 3, 58.38, 17.3

Structural model:
Lattice parameters (Å, degrees): 15.9739 4.3271 7.2665 90.00 107.02 90.00
Space group C2/m (No. 12)
One atom of each set of equivalent atoms:
Pr (0.0886, 0.0000, 0.3784)
Pr (0.1550, 0.0000, 0.9436)
In (0.0000, 0.5000, 0.0000)
Co (0.2177, 0.5000, 0.6220)
Ge (0.0688, 0.5000, 0.6544)
Ge (0.2142, 0.5000, 0.2859)


[9]
The following is a calculated powder diffractogram of PrEr2Mg4In2. It was derived from a cell relaxed with GGA-PBE, using CuKα.
No peak broadening, texture or thermal motion is included.

Top 10 peaks for 2θ = 5–70°, by angle:
hkl, two_theta, intensity
0 2 0, 13.29, 40.0
0 1 1, 13.54, 42.3
1 3 1, 30.11, 89.0
1 0 2, 30.45, 53.3
1 4 0, 32.93, 47.2
1 2 2, 33.36, 100.0
2 0 0, 38.19, 37.8
1 7 1, 53.33, 24.4
1 5 3, 53.91, 19.3
3 3 1, 64.11, 22.5

Structural model:
Lattice parameters (Å, degrees): 4.7126 13.3212 7.5037 90.00 90.00 90.00
Space group Amm2 (No. 38)
One atom of each set of equivalent atoms:
Pr (0.0000, 0.0000, 0.0000)
Er (0.0000, 0.2185, 0.6470)
Mg (0.0000, 0.0000, 0.4430)
Mg (0.5000, 0.0000, 0.6773)
Mg (0.5000, 0.1210, 0.3119)
In (0.5000, 0.1705, 0.9281)